Record 1
Structure and simulated X-ray powder pattern of PmSm2Ga2 (a crystal structure in Alexandria, relaxed with PBE; a wavelength of 1.5418 Å).
Lines closer than 0.1° are merged.

Crystal structure
Lattice parameters (Å, degrees): 12.567 3.775 6.008 90.00 102.52 90.00
Sites, in units of the cell vectors:
Pm (0.000, 0.000, 0.000)
Pm (0.500, 0.500, 0.000)
Sm (0.136, 0.500, 0.568)
Sm (0.364, 0.000, 0.432)
Sm (0.636, 0.000, 0.568)
Sm (0.864, 0.500, 0.432)
Ga (0.205, 0.500, 0.108)
Ga (0.295, 0.000, 0.892)
Ga (0.705, 0.000, 0.108)
Ga (0.795, 0.500, 0.892)

The 6 most intense peaks (10° ≤ 2θ ≤ 80°), in order of rising 2θ:
2θ (°), d/Å, I (rel.)
28.20, 3.164, 49
29.85, 2.994, 79
30.48, 2.933, 32
30.81, 2.902, 34
32.27, 2.774, 100
35.86, 2.504, 37

***

Record 2
Structure and simulated X-ray powder pattern of PmSm3Ga (a crystal structure in Alexandria, relaxed with PBE; a wavelength of 1.5418 Å).
Lines closer than 0.1° are merged.

Crystal structure
Lattice parameters (Å, degrees): 3.739 8.628 9.856 76.57 79.08 89.98
Sites, in units of the cell vectors:
Pm (0.095, 0.044, 0.311)
Pm (0.905, 0.956, 0.689)
Sm (0.303, 0.184, 0.895)
Sm (0.315, 0.616, 0.868)
Sm (0.498, 0.301, 0.500)
Sm (0.502, 0.699, 0.500)
Sm (0.685, 0.384, 0.132)
Sm (0.697, 0.816, 0.105)
Ga (0.103, 0.567, 0.294)
Ga (0.897, 0.433, 0.706)

The 6 most intense peaks (10° ≤ 2θ ≤ 80°), in order of rising 2θ:
2θ (°), d/Å, I (rel.)
31.33, 2.855, 44
31.67, 2.825, 100
31.78, 2.816, 51
33.79, 2.652, 49
33.81, 2.651, 48
59.31, 1.558, 33

***

Record 3
Structure and simulated X-ray powder pattern of PmSmGa4 (a crystal structure in Alexandria, relaxed with PBE; a wavelength of 1.5418 Å).
Lines closer than 0.1° are merged.

Crystal structure
Lattice parameters (Å, degrees): 4.242 4.242 14.829 90.00 90.00 90.00
Sites, in units of the cell vectors:
Pm (0.000, 0.000, 0.000)
Pm (0.500, 0.500, 0.500)
Sm (0.000, 0.500, 0.750)
Sm (0.500, 0.000, 0.250)
Ga (0.000, 0.000, 0.417)
Ga (0.000, 0.000, 0.583)
Ga (0.000, 0.500, 0.167)
Ga (0.000, 0.500, 0.333)
Ga (0.500, 0.000, 0.667)
Ga (0.500, 0.000, 0.833)
Ga (0.500, 0.500, 0.083)
Ga (0.500, 0.500, 0.917)

The 6 most intense peaks (10° ≤ 2θ ≤ 80°), in order of rising 2θ:
2θ (°), d/Å, I (rel.)
27.71, 3.219, 32
32.19, 2.781, 100
36.98, 2.431, 52
42.62, 2.121, 41
48.00, 1.895, 25
57.68, 1.598, 28

***

Record 4
Structure and simulated X-ray powder pattern of Pm3SmGa8 (a crystal structure in Alexandria, relaxed with PBE; a wavelength of 1.5418 Å).
Lines closer than 0.1° are merged.

Crystal structure
Lattice parameters (Å, degrees): 9.757 9.757 9.757 33.26 33.26 33.26
Sites, in units of the cell vectors:
Pm (0.000, 0.000, 0.000)
Pm (0.124, 0.124, 0.124)
Pm (0.500, 0.500, 0.500)
Sm (0.624, 0.624, 0.624)
Ga (0.062, 0.062, 0.562)
Ga (0.062, 0.562, 0.062)
Ga (0.062, 0.562, 0.562)
Ga (0.312, 0.312, 0.312)
Ga (0.562, 0.062, 0.062)
Ga (0.562, 0.062, 0.562)
Ga (0.562, 0.562, 0.062)
Ga (0.812, 0.812, 0.812)

The 6 most intense peaks (10° ≤ 2θ ≤ 80°), in order of rising 2θ:
2θ (°), d/Å, I (rel.)
31.84, 2.810, 37
32.06, 2.792, 36
37.49, 2.399, 35
37.71, 2.386, 100
39.48, 2.282, 21
66.55, 1.405, 17

***

Record 5
Structure and simulated X-ray powder pattern of Pm2Sm2ZnGa4 (a crystal structure in Alexandria, relaxed with PBE; a wavelength of 1.5418 Å).
Lines closer than 0.1° are merged.

Crystal structure
Lattice parameters (Å, degrees): 6.675 6.675 6.675 116.07 116.07 96.96
Sites, in units of the cell vectors:
Pm (0.250, 0.750, 0.500)
Pm (0.750, 0.250, 0.500)
Sm (0.186, 0.186, 0.000)
Sm (0.814, 0.814, 0.000)
Zn (0.500, 0.500, 0.000)
Ga (0.258, 0.258, 0.516)
Ga (0.258, 0.742, 0.000)
Ga (0.742, 0.258, 0.000)
Ga (0.742, 0.742, 0.484)

The 6 most intense peaks (10° ≤ 2θ ≤ 80°), in order of rising 2θ:
2θ (°), d/Å, I (rel.)
25.20, 3.534, 25
32.42, 2.761, 100
32.90, 2.722, 24
35.94, 2.499, 66
51.73, 1.767, 23
62.39, 1.488, 30

***

Record 6
Structure and simulated X-ray powder pattern of Pm2GaSn4 (a crystal structure in Alexandria, relaxed with PBE; a wavelength of 1.5418 Å).
Lines closer than 0.1° are merged.

Crystal structure
Lattice parameters (Å, degrees): 8.997 8.962 6.599 90.00 132.87 90.00
Sites, in units of the cell vectors:
Pm (0.250, 0.250, 0.000)
Pm (0.250, 0.750, 0.000)
Pm (0.750, 0.250, 0.000)
Pm (0.750, 0.750, 0.000)
Ga (0.000, 0.000, 0.000)
Ga (0.500, 0.500, 0.000)
Sn (0.000, 0.000, 0.500)
Sn (0.000, 0.500, 0.500)
Sn (0.250, 0.250, 0.500)
Sn (0.250, 0.750, 0.500)
Sn (0.500, 0.000, 0.500)
Sn (0.500, 0.500, 0.500)
Sn (0.750, 0.250, 0.500)
Sn (0.750, 0.750, 0.500)

The 6 most intense peaks (10° ≤ 2θ ≤ 80°), in order of rising 2θ:
2θ (°), d/Å, I (rel.)
33.77, 2.654, 100
37.18, 2.418, 19
40.09, 2.249, 16
40.25, 2.240, 16
55.93, 1.644, 18
64.87, 1.437, 16

***

Record 7
Structure and simulated X-ray powder pattern of Pm2GaSn3 (a crystal structure in Alexandria, relaxed with PBE; a wavelength of 1.5418 Å).
Lines closer than 0.1° are merged.

Crystal structure
Lattice parameters (Å, degrees): 8.099 8.099 5.735 90.00 90.00 70.77
Sites, in units of the cell vectors:
Pm (0.043, 0.666, 0.750)
Pm (0.334, 0.957, 0.750)
Pm (0.666, 0.043, 0.250)
Pm (0.957, 0.334, 0.250)
Ga (0.368, 0.632, 0.250)
Ga (0.632, 0.368, 0.750)
Sn (0.082, 0.918, 0.250)
Sn (0.328, 0.328, 0.000)
Sn (0.328, 0.328, 0.500)
Sn (0.672, 0.672, 0.000)
Sn (0.672, 0.672, 0.500)
Sn (0.918, 0.082, 0.750)

The 6 most intense peaks (10° ≤ 2θ ≤ 80°), in order of rising 2θ:
2θ (°), d/Å, I (rel.)
27.25, 3.272, 100
33.35, 2.686, 51
35.21, 2.549, 61
36.76, 2.445, 42
38.70, 2.327, 33
41.01, 2.201, 26

***

Record 8
Structure and simulated X-ray powder pattern of Pm3Ga3Sn (a crystal structure in Alexandria, relaxed with PBE; a wavelength of 1.5418 Å).
Lines closer than 0.1° are merged.

Crystal structure
Lattice parameters (Å, degrees): 4.243 4.410 19.244 90.00 90.00 90.00
Sites, in units of the cell vectors:
Pm (0.000, 0.000, 0.000)
Pm (0.000, 0.000, 0.373)
Pm (0.000, 0.500, 0.695)
Pm (0.500, 0.000, 0.195)
Pm (0.500, 0.500, 0.500)
Pm (0.500, 0.500, 0.873)
Ga (0.000, 0.000, 0.535)
Ga (0.000, 0.000, 0.834)
Ga (0.000, 0.500, 0.261)
Ga (0.500, 0.000, 0.761)
Ga (0.500, 0.500, 0.035)
Ga (0.500, 0.500, 0.334)
Sn (0.000, 0.500, 0.124)
Sn (0.500, 0.000, 0.624)

The 6 most intense peaks (10° ≤ 2θ ≤ 80°), in order of rising 2θ:
2θ (°), d/Å, I (rel.)
30.68, 2.914, 100
30.84, 2.900, 48
39.04, 2.307, 31
40.77, 2.213, 21
40.93, 2.205, 25
42.61, 2.122, 23

***

Record 9
Structure and simulated X-ray powder pattern of PmGaSn3 (a crystal structure in Alexandria, relaxed with PBE; a wavelength of 1.5418 Å).
Lines closer than 0.1° are merged.

Crystal structure
Lattice parameters (Å, degrees): 12.685 6.325 6.461 90.00 90.00 90.00
Sites, in units of the cell vectors:
Pm (0.197, 0.014, 0.250)
Pm (0.197, 0.486, 0.750)
Pm (0.803, 0.514, 0.250)
Pm (0.803, 0.986, 0.750)
Ga (0.382, 0.250, 0.000)
Ga (0.382, 0.250, 0.500)
Ga (0.618, 0.750, 0.000)
Ga (0.618, 0.750, 0.500)
Sn (0.001, 0.750, 0.000)
Sn (0.001, 0.750, 0.500)
Sn (0.238, 0.520, 0.250)
Sn (0.238, 0.980, 0.750)
Sn (0.438, 0.651, 0.750)
Sn (0.438, 0.849, 0.250)
Sn (0.562, 0.151, 0.750)
Sn (0.562, 0.349, 0.250)
Sn (0.762, 0.020, 0.250)
Sn (0.762, 0.480, 0.750)
Sn (0.999, 0.250, 0.000)
Sn (0.999, 0.250, 0.500)

The 6 most intense peaks (10° ≤ 2θ ≤ 80°), in order of rising 2θ:
2θ (°), d/Å, I (rel.)
31.07, 2.879, 54
31.61, 2.830, 100
34.57, 2.595, 52
34.95, 2.567, 68
35.41, 2.535, 88
39.89, 2.260, 67

***

Record 10
Structure and simulated X-ray powder pattern of Pm4GaSn5 (a crystal structure in Alexandria, relaxed with PBE; a wavelength of 1.5418 Å).
Lines closer than 0.1° are merged.

Crystal structure
Lattice parameters (Å, degrees): 9.302 11.952 5.231 90.00 90.00 90.00
Sites, in units of the cell vectors:
Pm (0.050, 0.250, 0.216)
Pm (0.250, 0.510, 0.791)
Pm (0.250, 0.990, 0.791)
Pm (0.450, 0.250, 0.216)
Pm (0.550, 0.750, 0.784)
Pm (0.750, 0.010, 0.209)
Pm (0.750, 0.490, 0.209)
Pm (0.950, 0.750, 0.784)
Ga (0.250, 0.750, 0.944)
Ga (0.750, 0.250, 0.056)
Sn (0.079, 0.610, 0.298)
Sn (0.079, 0.890, 0.298)
Sn (0.250, 0.250, 0.718)
Sn (0.421, 0.610, 0.298)
Sn (0.421, 0.890, 0.298)
Sn (0.579, 0.110, 0.702)
Sn (0.579, 0.390, 0.702)
Sn (0.750, 0.750, 0.282)
Sn (0.921, 0.110, 0.702)
Sn (0.921, 0.390, 0.702)

The 6 most intense peaks (10° ≤ 2θ ≤ 80°), in order of rising 2θ:
2θ (°), d/Å, I (rel.)
24.28, 3.665, 43
28.15, 3.169, 37
33.60, 2.667, 100
34.26, 2.618, 90
35.93, 2.499, 38
42.46, 2.129, 30

***

Record 11
Structure and simulated X-ray powder pattern of SrPmTlGa (a crystal structure in Alexandria, relaxed with PBE; a wavelength of 1.5418 Å).
Lines closer than 0.1° are merged.

Crystal structure
Lattice parameters (Å, degrees): 7.771 7.771 7.771 90.00 90.00 90.00
Sites, in units of the cell vectors:
Sr (0.000, 0.000, 0.000)
Sr (0.000, 0.500, 0.500)
Sr (0.500, 0.000, 0.500)
Sr (0.500, 0.500, 0.000)
Pm (0.000, 0.000, 0.500)
Pm (0.000, 0.500, 0.000)
Pm (0.500, 0.000, 0.000)
Pm (0.500, 0.500, 0.500)
Tl (0.250, 0.250, 0.250)
Tl (0.250, 0.750, 0.750)
Tl (0.750, 0.250, 0.750)
Tl (0.750, 0.750, 0.250)
Ga (0.250, 0.250, 0.750)
Ga (0.250, 0.750, 0.250)
Ga (0.750, 0.250, 0.250)
Ga (0.750, 0.750, 0.750)

The 6 most intense peaks (10° ≤ 2θ ≤ 80°), in order of rising 2θ:
2θ (°), d/Å, I (rel.)
19.79, 4.487, 17
32.59, 2.747, 100
46.76, 1.943, 18
58.16, 1.586, 38
68.27, 1.374, 12
77.72, 1.229, 16

***

Record 12
Structure and simulated X-ray powder pattern of TbPmGa (a crystal structure in Alexandria, relaxed with PBE; a wavelength of 1.5418 Å).
Lines closer than 0.1° are merged.

Crystal structure
Lattice parameters (Å, degrees): 8.642 8.642 3.759 90.00 90.00 120.00
Sites, in units of the cell vectors:
Tb (0.000, 0.278, 0.000)
Tb (0.278, 0.000, 0.000)
Tb (0.722, 0.722, 0.000)
Pm (0.000, 0.608, 0.500)
Pm (0.392, 0.392, 0.500)
Pm (0.608, 0.000, 0.500)
Ga (0.000, 0.000, 0.500)
Ga (0.333, 0.667, 0.000)
Ga (0.667, 0.333, 0.000)

The 6 most intense peaks (10° ≤ 2θ ≤ 80°), in order of rising 2θ:
2θ (°), d/Å, I (rel.)
31.57, 2.834, 100
33.80, 2.652, 30
36.00, 2.495, 35
48.61, 1.873, 10
59.15, 1.562, 20
61.80, 1.501, 14

***

Record 13
Structure and simulated X-ray powder pattern of Tb2Pm3Ga4 (a crystal structure in Alexandria, relaxed with PBE; a wavelength of 1.5418 Å).
Lines closer than 0.1° are merged.

Crystal structure
Lattice parameters (Å, degrees): 5.924 5.924 9.696 90.02 90.02 44.60
Sites, in units of the cell vectors:
Tb (0.180, 0.180, 0.231)
Tb (0.820, 0.820, 0.769)
Pm (0.121, 0.121, 0.614)
Pm (0.500, 0.500, 0.000)
Pm (0.879, 0.879, 0.386)
Ga (0.196, 0.196, 0.927)
Ga (0.420, 0.420, 0.605)
Ga (0.580, 0.580, 0.395)
Ga (0.804, 0.804, 0.073)

The 6 most intense peaks (10° ≤ 2θ ≤ 80°), in order of rising 2θ:
2θ (°), d/Å, I (rel.)
28.27, 3.157, 48
31.55, 2.836, 96
32.16, 2.784, 39
35.16, 2.552, 100
36.72, 2.448, 36
40.11, 2.248, 46

***

Record 14
Structure and simulated X-ray powder pattern of Tb3Pm2Ga4 (a crystal structure in Alexandria, relaxed with PBE; a wavelength of 1.5418 Å).
Lines closer than 0.1° are merged.

Crystal structure
Lattice parameters (Å, degrees): 8.025 8.052 7.537 90.00 106.36 90.00
Sites, in units of the cell vectors:
Tb (0.000, 0.000, 0.000)
Tb (0.000, 0.500, 0.500)
Tb (0.262, 0.174, 0.748)
Tb (0.262, 0.326, 0.248)
Tb (0.738, 0.674, 0.752)
Tb (0.738, 0.826, 0.252)
Pm (0.310, 0.683, 0.926)
Pm (0.310, 0.817, 0.426)
Pm (0.690, 0.183, 0.574)
Pm (0.690, 0.317, 0.074)
Ga (0.008, 0.622, 0.120)
Ga (0.008, 0.878, 0.620)
Ga (0.419, 0.030, 0.133)
Ga (0.419, 0.470, 0.633)
Ga (0.581, 0.530, 0.367)
Ga (0.581, 0.970, 0.867)
Ga (0.992, 0.122, 0.380)
Ga (0.992, 0.378, 0.880)

The 6 most intense peaks (10° ≤ 2θ ≤ 80°), in order of rising 2θ:
2θ (°), d/Å, I (rel.)
30.83, 2.900, 25
32.03, 2.795, 51
32.16, 2.784, 100
34.96, 2.567, 22
35.68, 2.516, 34
37.52, 2.397, 36